Simulated powder XRD pattern
Compound: Er6MgIr
Radiation: λ = 1.5418 Å (Cu Kα)
Structure: a cell relaxed with GGA-PBE
Intensities are scaled so that the largest is 1000.

Most intense lines, 2θ from 10° to 90°, by angle:
two_theta, intensity, (hkl)
15.61, 378, 0 1 0
24.34, 176, 1 0 -2
28.93, 223, 0 0 2
29.69, 1000, 1 -2 1
29.77, 301, -2 1 2
31.52, 164, 2 0 -2
39.18, 369, 1 1 1
45.60, 193, 3 0 -2
51.71, 123, 2 -1 2
51.79, 164, -1 2 3

Structural model:
```
data_Er6MgIr
_chemical_formula_sum 'Er6 Mg1 Ir1'
_symmetry_space_group_name_H-M 'P -1'
_symmetry_Int_Tables_number 2
_cell_length_a 6.879
_cell_length_b 6.885
_cell_length_c 7.334
_cell_angle_alpha 90.10
_cell_angle_beta 117.86
_cell_angle_gamma 119.87
loop_
_symmetry_equiv_pos_as_xyz
'x,y,z'
'-x,-y,-z'
loop_
_atom_site_label
_atom_site_type_symbol
_atom_site_fract_x
_atom_site_fract_y
_atom_site_fract_z
Er1 Er 0.047 0.077 0.253
Er2 Er 0.283 0.707 0.253
Er3 Er 0.322 0.529 0.747
Mg1 Mg 0.500 0.000 0.000
Ir1 Ir 0.500 0.500 0.500
```